For NdDyIn6, a structure optimized by DFT (PBE) gives the calculated X-ray diffraction stick pattern in this record (Cu Kα (λ = 1.5418 Å)).

Atomic structure:
Cell: 5.3177 6.6835 11.5790 Å, 90.00 90.00 90.00°
Space group Amm2 (No. 38)
Symmetry-distinct sites (fractional):
Nd 0.0000 0.0000 0.0000 x2
Dy 0.5000 0.0000 0.3332 x2
In 0.0000 0.0000 0.5031 x2
In 0.0000 0.2427 0.7471 x4
In 0.5000 0.0000 0.8264 x2
In 0.5000 0.2369 0.5880 x4

The 10 most intense peaks (10° ≤ 2θ ≤ 80°), by angle:
h k l, two_theta, intensity
0 2 2, 30.9, 23.8
2 0 0, 33.7, 25.4
1 0 4, 35.3, 100.0
2 2 2, 46.4, 15.3
0 2 6, 54.9, 17.9
3 0 4, 61.3, 19.5
2 2 6, 66.0, 20.3
1 4 4, 67.0, 14.4
2 0 8, 74.7, 3.5
4 2 2, 79.3, 3.1